[1]
# CrSiAg6O8
Calculated powder X-ray diffraction pattern, Cu Ka. Input: a crystal structure in the Materials Project, relaxed with PBE+U.
Lines closer than 0.1° are merged.

Principal peaks in the range 5° ≤ 2θ ≤ 70°, most intense first:
Position (°2θ)  Rel. int.
31.85  1000
35.90  237
54.02  217
62.00  171
66.17  115
51.68  112
38.97  105
66.57  62
20.18  57
37.41  52

Cell and atoms:
a b c (Å): 10.5121 10.5121 10.5121
angles (deg): 140.67 140.67 56.84
Positions (direct):
Cr 0.3750 0.6250 0.7500
Cr 0.6250 0.3750 0.2500
Si 0.1250 0.8750 0.2500
Si 0.8750 0.1250 0.7500
Ag 0.0000 0.2046 0.2046
Ag 0.0000 0.7954 0.7954
Ag 0.1151 0.3651 0.7500
Ag 0.2046 0.0000 0.7046
Ag 0.2046 0.5000 0.2046
Ag 0.3651 0.1151 0.2500
Ag 0.5000 0.2046 0.7046
Ag 0.5000 0.7954 0.2954
Ag 0.6349 0.8849 0.7500
Ag 0.7954 0.0000 0.2954
Ag 0.7954 0.5000 0.7954
Ag 0.8849 0.6349 0.2500
O 0.1192 0.1768 0.9424
O 0.1284 0.5736 0.5548
O 0.1768 0.1192 0.4424
O 0.1768 0.7344 0.0576
O 0.2656 0.8232 0.4424
O 0.4264 0.4812 0.5548
O 0.4264 0.8716 0.9452
O 0.4812 0.4264 0.0548
O 0.5188 0.5736 0.9452
O 0.5736 0.1284 0.0548
O 0.5736 0.5188 0.4452
O 0.7344 0.1768 0.5576
O 0.8232 0.2656 0.9424
O 0.8232 0.8808 0.5576
O 0.8716 0.4264 0.4452
O 0.8808 0.8232 0.0576

[2]
# Li4Ni8O9F7
Calculated powder X-ray diffraction pattern, Cu Ka. Input: a crystal structure in the Materials Project, relaxed with PBE+U.
Lines closer than 0.1° are merged.

Principal peaks in the range 5° ≤ 2θ ≤ 70°, most intense first:
Position (°2θ)  Rel. int.
18.06  1000
18.93  458
18.82  457
42.32  422
44.02  370
44.19  366
35.45  359
34.87  261
62.63  234
36.66  145

Cell and atoms:
a b c (Å): 5.6310 5.9114 10.3571
angles (deg): 74.33 74.27 61.95
Positions (direct):
Li 0.0000 0.0000 0.0000
Li 0.0908 0.2232 0.6006
Li 0.4952 0.5036 0.5002
Li 0.6166 0.7039 0.1053
Ni 0.0429 0.1214 0.2944
Ni 0.0462 0.6104 0.8002
Ni 0.0484 0.6034 0.2977
Ni 0.2910 0.3648 0.0531
Ni 0.5450 0.1111 0.8007
Ni 0.5465 0.6101 0.8004
Ni 0.5489 0.1088 0.2990
Ni 0.7955 0.8617 0.5494
O 0.1834 0.2532 0.3933
O 0.2025 0.6867 0.9136
O 0.3930 0.0304 0.1873
O 0.4090 0.4775 0.7048
O 0.6836 0.7443 0.8955
O 0.7054 0.1850 0.4118
O 0.8893 0.5376 0.6857
O 0.9148 0.9609 0.2063
O 0.9457 0.4879 0.1817
F 0.1678 0.7141 0.4244
F 0.1787 0.2209 0.9293
F 0.4199 0.0016 0.6694
F 0.4308 0.4888 0.1742
F 0.6680 0.2249 0.9307
F 0.6758 0.7235 0.4301
F 0.9108 0.0041 0.6686

[3]
# Co3O2F4
Calculated powder X-ray diffraction pattern, Cu Ka. Input: a crystal structure in the Materials Project, relaxed with PBE+U.
Lines closer than 0.1° are merged.

Principal peaks in the range 5° ≤ 2θ ≤ 70°, most intense first:
Position (°2θ)  Rel. int.
26.83  1000
34.48  601
52.55  315
52.40  205
67.00  200
39.60  145
59.16  130
66.11  130
55.29  122
50.20  102

Cell and atoms:
a b c (Å): 4.7147 14.0541 3.1231
angles (deg): 90.00 90.00 90.00
Positions (direct):
Co 0.0000 0.0000 0.0000
Co 0.0721 0.3407 0.0000
Co 0.4279 0.8407 0.5000
Co 0.5000 0.5000 0.5000
Co 0.5721 0.1593 0.5000
Co 0.9279 0.6593 0.0000
O 0.2376 0.4018 0.5000
O 0.2624 0.9018 0.0000
O 0.7376 0.0982 0.0000
O 0.7624 0.5982 0.5000
F 0.1296 0.7311 0.5000
F 0.2177 0.0662 0.5000
F 0.2823 0.5662 0.0000
F 0.3704 0.2311 0.0000
F 0.6296 0.7689 0.0000
F 0.7177 0.4338 0.0000
F 0.7823 0.9338 0.5000
F 0.8704 0.2689 0.5000

Please write out number 1 again, unchanged.
# CrSiAg6O8
Calculated powder X-ray diffraction pattern, Cu Ka. Input: a crystal structure in the Materials Project, relaxed with PBE+U.
Lines closer than 0.1° are merged.

Principal peaks in the range 5° ≤ 2θ ≤ 70°, most intense first:
Position (°2θ)  Rel. int.
31.85  1000
35.90  237
54.02  217
62.00  171
66.17  115
51.68  112
38.97  105
66.57  62
20.18  57
37.41  52

Cell and atoms:
a b c (Å): 10.5121 10.5121 10.5121
angles (deg): 140.67 140.67 56.84
Positions (direct):
Cr 0.3750 0.6250 0.7500
Cr 0.6250 0.3750 0.2500
Si 0.1250 0.8750 0.2500
Si 0.8750 0.1250 0.7500
Ag 0.0000 0.2046 0.2046
Ag 0.0000 0.7954 0.7954
Ag 0.1151 0.3651 0.7500
Ag 0.2046 0.0000 0.7046
Ag 0.2046 0.5000 0.2046
Ag 0.3651 0.1151 0.2500
Ag 0.5000 0.2046 0.7046
Ag 0.5000 0.7954 0.2954
Ag 0.6349 0.8849 0.7500
Ag 0.7954 0.0000 0.2954
Ag 0.7954 0.5000 0.7954
Ag 0.8849 0.6349 0.2500
O 0.1192 0.1768 0.9424
O 0.1284 0.5736 0.5548
O 0.1768 0.1192 0.4424
O 0.1768 0.7344 0.0576
O 0.2656 0.8232 0.4424
O 0.4264 0.4812 0.5548
O 0.4264 0.8716 0.9452
O 0.4812 0.4264 0.0548
O 0.5188 0.5736 0.9452
O 0.5736 0.1284 0.0548
O 0.5736 0.5188 0.4452
O 0.7344 0.1768 0.5576
O 0.8232 0.2656 0.9424
O 0.8232 0.8808 0.5576
O 0.8716 0.4264 0.4452
O 0.8808 0.8232 0.0576